Record 1
This entry pairs a crystal structure of Th2MgIr3 with its theoretical powder X-ray diffraction pattern. Radiation: λ = 1.5418 Å (Cu Kα). Structure: a GGA-PBE-relaxed structure.
No peak broadening, texture or thermal motion is included.

Structural model:
Lattice parameters (Å, degrees): 6.5891 6.5891 6.5891 142.02 129.84 64.60
Element x y z (fractional)
Th  0.1770  0.1770  0.0000
Th  0.8230  0.8230  0.0000
Mg  0.5000  0.5000  0.0000
Ir  0.0000  0.5000  0.5000
Ir  0.3628  0.8628  0.5000
Ir  0.6372  0.1372  0.5000

The 10 most intense peaks (10 to 80 degrees two-theta), low angle first:
2θ/deg  intensity
30.80  33
31.88  100
32.05  60
42.15  27
43.75  19
45.83  75
53.92  28
73.49  15
76.13  17
79.66  15

=====

Record 2
This entry pairs a crystal structure of La2TbPr2Nd with its theoretical powder X-ray diffraction pattern. Radiation: λ = 1.5418 Å (Cu Kα). Structure: a GGA-PBE-relaxed structure.
No peak broadening, texture or thermal motion is included.

Structural model:
Lattice parameters (Å, degrees): 5.8599 10.1347 7.1780 90.00 90.00 90.00
Element x y z (fractional)
La  0.0000  0.1641  0.0000
La  0.0000  0.8359  0.5000
La  0.5000  0.3306  0.4998
La  0.5000  0.6694  0.9998
Tb  0.5000  0.3359  0.9995
Tb  0.5000  0.6641  0.4995
Pr  0.0000  0.1713  0.5004
Pr  0.0000  0.8287  0.0004
Pr  0.5000  0.0002  0.2502
Pr  0.5000  0.9998  0.7502
Nd  0.0000  0.4998  0.2497
Nd  0.0000  0.5002  0.7497

The 10 most intense peaks (10 to 80 degrees two-theta), low angle first:
2θ/deg  intensity
24.81  3
30.52  100
39.73  6
43.71  18
50.88  4
54.26  29
60.52  17
63.55  6
72.13  8
77.59  7

=====

Record 3
This entry pairs a crystal structure of Pr3Dy4Y2 with its theoretical powder X-ray diffraction pattern. Radiation: λ = 1.5418 Å (Cu Kα). Structure: a GGA-PBE-relaxed structure.
No peak broadening, texture or thermal motion is included.

Structural model:
Lattice parameters (Å, degrees): 6.0523 6.0523 11.2257 100.93 100.93 50.44
Element x y z (fractional)
Pr  0.0000  0.0000  0.0000
Pr  0.4476  0.4476  0.2544
Pr  0.5524  0.5524  0.7456
Dy  0.1468  0.1468  0.2793
Dy  0.2776  0.2776  0.8964
Dy  0.7224  0.7224  0.1036
Dy  0.8532  0.8532  0.7207
Y  0.1663  0.1663  0.5759
Y  0.8337  0.8337  0.4241

The 10 most intense peaks (10 to 80 degrees two-theta), low angle first:
2θ/deg  intensity
26.23  41
29.67  29
30.13  100
32.01  44
32.49  84
33.43  36
34.79  52
36.17  28
49.02  25
51.06  21

=====

Record 4
This entry pairs a crystal structure of BaMgAgAu2 with its theoretical powder X-ray diffraction pattern. Radiation: λ = 1.5418 Å (Cu Kα). Structure: a GGA-PBE-relaxed structure.
No peak broadening, texture or thermal motion is included.

Structural model:
Lattice parameters (Å, degrees): 7.2134 7.2134 7.2134 144.45 144.45 51.16
Element x y z (fractional)
Ba  0.0000  0.0000  0.0000
Mg  0.7500  0.2500  0.5000
Ag  0.2500  0.7500  0.5000
Au  0.3891  0.3891  0.0000
Au  0.6109  0.6109  0.0000

The 10 most intense peaks (10 to 80 degrees two-theta), low angle first:
2θ/deg  intensity
21.30  66
28.66  66
28.89  100
31.86  78
40.08  52
40.25  94
40.98  76
50.92  42
58.79  62
59.35  25